For ZnPdO3, a PBE-relaxed structure gives the simulated X-ray diffraction stick pattern in this record (Cu Kα (λ = 1.5418 Å)).
Neutral-atom scattering factors, no anomalous dispersion.

Crystal structure
```
ZnPdO3
1.0
2.621 1.513 4.671
-2.621 1.513 4.671
0.000 -3.026 4.671
Zn Pd O
2 2 6
direct
0.132 0.132 0.132
0.868 0.868 0.868
0.341 0.341 0.341
0.659 0.659 0.659
0.060 0.452 0.733
0.267 0.940 0.548
0.452 0.733 0.060
0.548 0.267 0.940
0.733 0.060 0.452
0.940 0.548 0.267
```

Top 10 peaks for 2θ = 5–70°, most intense first:
2theta  I/Imax
34.22  1000
32.28  902
52.48  484
23.35  360
47.75  358
61.26  337
60.04  328
39.42  225
19.00  168
37.72  136